Structure and calculated X-ray diffraction stick pattern of Nd2Tm7 (a cell relaxed with PBE; Cu Kα, 1.54184 Å).
Kinematic intensities with the Lorentz-polarization factor, no thermal factor.

```
Nd2Tm7
1.0
6.1163 0.0000 0.0000
-3.0582 5.2969 0.0000
0.0000 0.0000 8.6377
Nd Tm
2 7
Direct
0.3333 0.6667 0.0000
0.6667 0.3333 0.0000
0.0000 0.0000 0.0000
0.0000 0.3322 0.6633
0.0000 0.6678 0.3367
0.3322 0.0000 0.6633
0.3322 0.3322 0.3367
0.6678 0.0000 0.3367
0.6678 0.6678 0.6633
```

Most intense lines, 2θ from 10° to 90°, by angle:
d [Å], Position (°2θ), I/Imax
2.882, 31.03, 100
2.496, 35.98, 51
1.765, 51.80, 36
1.505, 61.62, 43
1.145, 84.60, 13
1.116, 87.37, 17

---

Structure and calculated X-ray diffraction stick pattern of RbHg2Se (a cell relaxed with PBE; Cu Kα, 1.54184 Å).
Kinematic intensities with the Lorentz-polarization factor, no thermal factor.

```
RbHg2Se
1.0
6.7676 0.0000 0.0000
0.0121 6.9223 0.0000
1.8361 3.4382 6.5029
Rb Hg Se
2 4 2
Direct
0.0000 0.0000 0.0000
0.4810 0.5363 0.9282
0.2358 0.0905 0.4632
0.4888 0.7337 0.3450
0.7386 0.2675 0.4642
0.9982 0.6060 0.5843
0.5451 0.0806 0.8356
0.9338 0.4523 0.0930
```

Most intense lines, 2θ from 10° to 90°, by angle:
d [Å], Position (°2θ), I/Imax
6.503, 13.62, 79
3.570, 24.94, 55
3.461, 25.74, 68
3.288, 27.12, 62
3.056, 29.23, 61
3.039, 29.39, 100

---

Structure and calculated X-ray diffraction stick pattern of Co2CuRu (a cell relaxed with PBE; Cu Kα, 1.54184 Å).
Kinematic intensities with the Lorentz-polarization factor, no thermal factor.

```
Co2CuRu
1.0
2.5408 -4.2417 0.0000
2.5408 4.2417 0.0000
-1.0096 0.0000 2.2996
Co Cu Ru
2 1 1
Direct
0.0000 0.5000 0.0000
0.5000 0.0000 0.0000
0.0000 0.0000 0.5000
0.5000 0.5000 0.5000
```

Most intense lines, 2θ from 10° to 90°, by angle:
d [Å], Position (°2θ), I/Imax
2.121, 42.63, 57
2.115, 42.76, 56
2.040, 44.41, 100
2.022, 44.83, 97
1.498, 61.97, 35
1.210, 79.17, 16

---

Structure and calculated X-ray diffraction stick pattern of PmTcO5 (a cell relaxed with PBE; Cu Kα, 1.54184 Å).
Kinematic intensities with the Lorentz-polarization factor, no thermal factor.

```
PmTcO5
1.0
7.7564 0.0000 0.0000
0.0000 7.7564 0.0000
0.0000 0.0000 4.3961
Pm Tc O
2 2 10
Direct
0.2500 0.2500 0.2397
0.7500 0.7500 0.7603
0.2500 0.7500 0.5000
0.7500 0.2500 0.5000
0.0660 0.7500 0.7291
0.2500 0.2500 0.7442
0.2500 0.5660 0.2709
0.2500 0.9340 0.2709
0.4340 0.7500 0.7291
0.5660 0.2500 0.2709
0.7500 0.0660 0.7291
0.7500 0.4340 0.7291
0.7500 0.7500 0.2558
0.9340 0.2500 0.2709
```

Most intense lines, 2θ from 10° to 90°, by angle:
d [Å], Position (°2θ), I/Imax
3.878, 22.93, 100
3.824, 23.26, 56
3.430, 25.98, 25
2.742, 32.65, 25
2.040, 44.40, 25
1.637, 56.19, 33

---

Structure and calculated X-ray diffraction stick pattern of PmAlNi2 (a cell relaxed with PBE; Cu Kα, 1.54184 Å).
Kinematic intensities with the Lorentz-polarization factor, no thermal factor.

```
PmAlNi2
1.0
4.1734 0.0000 0.0000
0.0000 6.4726 0.0000
0.0000 0.0000 5.2591
Pm Al Ni
2 2 4
Direct
0.2500 0.2500 0.1504
0.7500 0.7500 0.8496
0.2500 0.7500 0.3535
0.7500 0.2500 0.6465
0.2500 0.0541 0.6348
0.2500 0.4459 0.6348
0.7500 0.5541 0.3652
0.7500 0.9459 0.3652
```

Most intense lines, 2θ from 10° to 90°, by angle:
d [Å], Position (°2θ), I/Imax
3.507, 25.39, 89
2.756, 32.48, 33
2.436, 36.90, 55
2.300, 39.17, 100
2.225, 40.55, 57
2.087, 43.36, 37

---

Structure and calculated X-ray diffraction stick pattern of Tl2ZnGaSn2 (a cell relaxed with PBE; Cu Kα, 1.54184 Å).
Kinematic intensities with the Lorentz-polarization factor, no thermal factor.

```
Tl2ZnGaSn2
1.0
9.7714 -2.8989 0.0000
9.7714 2.8989 0.0000
-1.7764 0.0000 5.6405
Tl Zn Ga Sn
4 2 2 4
Direct
0.0424 0.5697 0.8050
0.4303 0.9576 0.6950
0.5697 0.0424 0.3050
0.9576 0.4303 0.1950
0.4994 0.5006 0.7500
0.5006 0.4994 0.2500
0.9996 0.0004 0.2500
0.0004 0.9996 0.7500
0.1555 0.6313 0.3924
0.3687 0.8445 0.1076
0.6313 0.1555 0.8924
0.8445 0.3687 0.6076
```

Most intense lines, 2θ from 10° to 90°, by angle:
d [Å], Position (°2θ), I/Imax
3.098, 28.82, 87
3.093, 28.87, 81
2.818, 31.75, 39
2.768, 32.34, 37
2.485, 36.15, 100
2.070, 43.73, 64

---

What did the sixth record say?
Structure and calculated X-ray diffraction stick pattern of Tl2ZnGaSn2 (a cell relaxed with PBE; Cu Kα, 1.54184 Å).
Kinematic intensities with the Lorentz-polarization factor, no thermal factor.

```
Tl2ZnGaSn2
1.0
9.7714 -2.8989 0.0000
9.7714 2.8989 0.0000
-1.7764 0.0000 5.6405
Tl Zn Ga Sn
4 2 2 4
Direct
0.0424 0.5697 0.8050
0.4303 0.9576 0.6950
0.5697 0.0424 0.3050
0.9576 0.4303 0.1950
0.4994 0.5006 0.7500
0.5006 0.4994 0.2500
0.9996 0.0004 0.2500
0.0004 0.9996 0.7500
0.1555 0.6313 0.3924
0.3687 0.8445 0.1076
0.6313 0.1555 0.8924
0.8445 0.3687 0.6076
```

Most intense lines, 2θ from 10° to 90°, by angle:
d [Å], Position (°2θ), I/Imax
3.098, 28.82, 87
3.093, 28.87, 81
2.818, 31.75, 39
2.768, 32.34, 37
2.485, 36.15, 100
2.070, 43.73, 64